The following is a theoretical XRD peak list of Ce2TiNi3As4. It was derived from a GGA-PBE-relaxed structure, using copper Kα.
Neutral-atom scattering factors, no anomalous dispersion.

Main lines, low angle first (10° ≤ 2θ ≤ 80°):
2θ/deg  Rel. int.
29.91  22
34.61  65
35.14  100
42.80  63
51.18  22
56.17  31
62.14  20
64.83  10
68.87  18
73.43  22

Cell and atoms:
```
data_Ce2TiNi3As4
_chemical_formula_sum 'Ce2 Ti1 Ni3 As4'
_space_group_name_H-M_alt 'P -4 m 2'
_space_group_IT_number 115
_cell_length_a 4.225
_cell_length_b 4.225
_cell_length_c 9.845
_cell_angle_alpha 90.00
_cell_angle_beta 90.00
_cell_angle_gamma 90.00
loop_
_space_group_symop_operation_xyz
'x,y,z'
'y,-x,-z'
'-x,-y,z'
'-y,x,-z'
'-x,y,z'
'-y,-x,-z'
'x,-y,z'
'y,x,-z'
loop_
_atom_site_label
_atom_site_fract_x
_atom_site_fract_y
_atom_site_fract_z
Ce1 0.000 0.500 0.234
Ti1 0.000 0.000 0.500
Ni1 0.000 0.500 0.887
Ni2 0.500 0.500 0.500
As1 0.000 0.000 0.000
As2 0.000 0.500 0.645
As3 0.500 0.500 0.000
```

The following is a theoretical XRD peak list of Ce5Np3As8. It was derived from a GGA-PBE-relaxed structure, using copper Kα.
Neutral-atom scattering factors, no anomalous dispersion.

Main lines, low angle first (10° ≤ 2θ ≤ 80°):
2θ/deg  Rel. int.
12.99  6
26.13  28
30.26  100
43.32  75
51.30  14
53.76  27
62.94  12
71.41  34
79.46  19
79.58  6

Cell and atoms:
```
data_Ce5Np3As8
_chemical_formula_sum 'Ce15 Np9 As24'
_space_group_name_H-M_alt 'R -3 m'
_space_group_IT_number 166
_space_group_name_Hall '-R 3 2"'
_cell_length_a 8.3588
_cell_length_b 8.3588
_cell_length_c 20.4392
_cell_angle_alpha 90.00
_cell_angle_beta 90.00
_cell_angle_gamma 120.00
loop_
_atom_site_label
_atom_site_fract_x
_atom_site_fract_y
_atom_site_fract_z
Ce1 0.0000 0.0000 0.0000
Ce2 0.0000 0.0000 0.5000
Ce3 0.0000 0.5000 0.0000
Np1 0.0000 0.5000 0.5000
As1 0.0000 0.0000 0.2474
As2 0.0032 0.5016 0.7516
```

The following is a theoretical XRD peak list of CeNp4U3As8. It was derived from a GGA-PBE-relaxed structure, using copper Kα.
Neutral-atom scattering factors, no anomalous dispersion.

Main lines, low angle first (10° ≤ 2θ ≤ 80°):
2θ/deg  Rel. int.
26.43  11
26.62  21
30.81  100
43.89  13
44.04  25
44.22  25
44.36  12
54.99  13
64.18  13
73.02  12

Cell and atoms:
```
data_CeNp4U3As8
_chemical_formula_sum 'Ce1 Np4 U3 As8'
_space_group_name_H-M_alt 'P -1'
_space_group_IT_number 2
_cell_length_a 8.168
_cell_length_b 8.188
_cell_length_c 8.220
_cell_angle_alpha 60.39
_cell_angle_beta 60.29
_cell_angle_gamma 60.15
loop_
_space_group_symop_operation_xyz
'x,y,z'
'-x,-y,-z'
loop_
_atom_site_label
_atom_site_fract_x
_atom_site_fract_y
_atom_site_fract_z
Ce1 0.000 0.000 0.000
Np1 0.000 0.000 0.500
Np2 0.000 0.500 0.000
Np3 0.500 0.000 0.000
Np4 0.500 0.500 0.500
U1 0.000 0.500 0.500
U2 0.500 0.000 0.500
U3 0.500 0.500 0.000
As1 0.250 0.250 0.251
As2 0.253 0.252 0.746
As3 0.253 0.746 0.251
As4 0.254 0.748 0.747
```

The following is a theoretical XRD peak list of CePmAs2O8. It was derived from a GGA-PBE-relaxed structure, using copper Kα.
Neutral-atom scattering factors, no anomalous dispersion.

Main lines, low angle first (10° ≤ 2θ ≤ 80°):
2θ/deg  Rel. int.
18.16  12
24.20  100
32.35  72
34.49  23
48.01  60
49.58  15
55.91  14
60.45  18
62.17  12
71.49  14

Cell and atoms:
```
data_CePmAs2O8
_chemical_formula_sum 'Ce2 Pm2 As4 O16'
_space_group_name_H-M_alt 'I -4 m 2'
_space_group_IT_number 119
_space_group_name_Hall 'I -4 -2'
_cell_length_a 7.355
_cell_length_b 7.355
_cell_length_c 6.536
_cell_angle_alpha 90.00
_cell_angle_beta 90.00
_cell_angle_gamma 90.00
loop_
_atom_site_label
_atom_site_fract_x
_atom_site_fract_y
_atom_site_fract_z
Ce1 0.000 0.000 0.000
Pm1 0.000 0.500 0.250
As1 0.000 0.000 0.500
As2 0.000 0.500 0.750
O1 0.000 0.180 0.330
O2 0.000 0.322 0.922
```

The following is a theoretical XRD peak list of CePrAsO2. It was derived from a GGA-PBE-relaxed structure, using copper Kα.
Neutral-atom scattering factors, no anomalous dispersion.

Main lines, low angle first (10° ≤ 2θ ≤ 80°):
2θ/deg  Rel. int.
23.80  13
31.26  100
32.33  41
43.56  11
46.37  21
54.95  18
56.99  36
65.21  8
76.42  8
76.99  7

Cell and atoms:
```
data_CePrAsO2
_chemical_formula_sum 'Ce2 Pr2 As2 O4'
_space_group_name_H-M_alt 'I 4 m m'
_space_group_IT_number 107
_space_group_name_Hall 'I 4 -2'
_cell_length_a 3.916
_cell_length_b 3.916
_cell_length_c 12.571
_cell_angle_alpha 90.00
_cell_angle_beta 90.00
_cell_angle_gamma 90.00
loop_
_atom_site_label
_atom_site_fract_x
_atom_site_fract_y
_atom_site_fract_z
Ce1 0.000 0.000 0.000
Pr1 0.000 0.000 0.299
As1 0.000 0.000 0.647
O1 0.000 0.500 0.407
```

The following is a theoretical XRD peak list of CePrAs2O8. It was derived from a GGA-PBE-relaxed structure, using copper Kα.
Neutral-atom scattering factors, no anomalous dispersion.

Main lines, low angle first (10° ≤ 2θ ≤ 80°):
2θ/deg  Rel. int.
24.04  100
32.16  72
34.26  23
47.70  60
49.23  15
55.51  14
60.03  18
61.78  12
67.29  11
70.97  14

Cell and atoms:
```
data_CePrAs2O8
_chemical_formula_sum 'Ce2 Pr2 As4 O16'
_space_group_name_H-M_alt 'I -4 m 2'
_space_group_IT_number 119
_space_group_name_Hall 'I -4 -2'
_cell_length_a 7.404
_cell_length_b 7.404
_cell_length_c 6.571
_cell_angle_alpha 90.00
_cell_angle_beta 90.00
_cell_angle_gamma 90.00
loop_
_atom_site_label
_atom_site_fract_x
_atom_site_fract_y
_atom_site_fract_z
Ce1 0.000 0.000 0.000
Pr1 0.000 0.500 0.750
As1 0.000 0.000 0.500
As2 0.000 0.500 0.250
O1 0.000 0.178 0.669
O2 0.000 0.321 0.081
```

The following is a theoretical XRD peak list of RbCeAsO6. It was derived from a GGA-PBE-relaxed structure, using copper Kα.
Neutral-atom scattering factors, no anomalous dispersion.

Main lines, low angle first (10° ≤ 2θ ≤ 80°):
2θ/deg  Rel. int.
14.18  41
23.31  100
28.58  14
32.17  35
35.31  13
40.10  20
43.56  47
47.57  14
52.31  21
57.35  12

Cell and atoms:
```
data_RbCeAsO6
_chemical_formula_sum 'Rb1 Ce1 As1 O6'
_space_group_name_H-M_alt 'P 3 1 2'
_space_group_IT_number 149
_cell_length_a 5.5654
_cell_length_b 5.5654
_cell_length_c 6.2472
_cell_angle_alpha 90.00
_cell_angle_beta 90.00
_cell_angle_gamma 120.00
loop_
_space_group_symop_operation_xyz
'x,y,z'
'-y,x-y,z'
'-x+y,-x,z'
'-y,-x,-z'
'-x+y,y,-z'
'x,x-y,-z'
loop_
_atom_site_label
_atom_site_fract_x
_atom_site_fract_y
_atom_site_fract_z
Rb1 0.0000 0.0000 0.0000
Ce1 0.3333 0.6667 0.5000
As1 0.6667 0.3333 0.5000
O1 0.4054 0.0525 0.6720
```

The following is a theoretical XRD peak list of CeAs2RuO8. It was derived from a GGA-PBE-relaxed structure, using copper Kα.
Neutral-atom scattering factors, no anomalous dispersion.

Main lines, low angle first (10° ≤ 2θ ≤ 80°):
2θ/deg  Rel. int.
18.64  75
22.93  73
32.59  100
32.72  98
46.85  55
52.69  16
58.20  61
65.30  23
68.26  18
77.78  17

Cell and atoms:
```
data_CeAs2RuO8
_chemical_formula_sum 'Ce1 As2 Ru1 O8'
_space_group_name_H-M_alt 'P -3 m 1'
_space_group_IT_number 164
_space_group_name_Hall '-P 3 2"'
_cell_length_a 5.4957
_cell_length_b 5.4957
_cell_length_c 6.6921
_cell_angle_alpha 90.00
_cell_angle_beta 90.00
_cell_angle_gamma 120.00
loop_
_atom_site_label
_atom_site_fract_x
_atom_site_fract_y
_atom_site_fract_z
Ce1 0.0000 0.0000 0.0000
As1 0.3333 0.6667 0.2245
Ru1 0.0000 0.0000 0.5000
O1 0.1575 0.3149 0.2905
O2 0.3333 0.6667 0.9721
```